The following is a simulated X-ray diffraction stick pattern of Tm2SiNi6Ge. It was derived from a cell relaxed with PBE, using λ = 1.5418 Å (Cu Kα).
No peak broadening, texture or thermal motion is included.

Most intense lines, 10° ≤ 2θ ≤ 90°, in order of rising 2θ:
h k l	d/Å	I/Imax
0 1 -2	3.063	100
1 1 -1	2.998	53
1 0 -2	2.625	38
1 -2 0	2.592	82
0 2 -1	2.579	44
-2 1 1	2.538	64
2 -1 1	2.519	51
2 -2 1	2.489	66
2 0 -2	2.122	34
0 2 -3	1.967	65

Crystal structure
Unit cell a=5.820 b=5.947 c=6.124 alpha=118.51 beta=90.72 gamma=118.72
Positions (direct):
Tm (0.211, 0.085, 0.281)
Tm (0.789, 0.915, 0.719)
Si (0.500, 0.500, 0.000)
Ni (0.176, 0.559, 0.880)
Ni (0.336, 0.701, 0.332)
Ni (0.351, 0.999, 0.820)
Ni (0.649, 0.001, 0.180)
Ni (0.664, 0.299, 0.668)
Ni (0.824, 0.441, 0.120)
Ge (0.000, 0.500, 0.500)